(1)
Theoretical powder diffractogram of DyY2C2 for CuKα, from a PBE-relaxed structure.

Peak list (10 most intense, 10° ≤ 2θ ≤ 90°, sorted by position)
2θ 21.6, d 4.116, intensity 24, (1 1 -1)
2θ 30.0, d 2.978, intensity 99, (1 1 -2)
2θ 30.3, d 2.953, intensity 100, (3 1 0)
2θ 34.5, d 2.602, intensity 42, (4 0 -2)
2θ 35.1, d 2.558, intensity 44, (2 0 2)
2θ 35.3, d 2.545, intensity 44, (0 2 0)
2θ 50.1, d 1.820, intensity 27, (4 2 -2)
2θ 50.3, d 1.812, intensity 20, (6 0 0)
2θ 50.6, d 1.804, intensity 30, (2 2 2)
2θ 60.1, d 1.539, intensity 28, (5 1 2)

Structure:
Lattice parameters (Å, degrees): 11.539 5.091 7.347 90.00 109.55 90.00
Space group C2/m (No. 12)
Asymmetric unit:
Dy 0.155 0.000 0.096
Y 0.007 0.500 0.728
Y 0.162 0.000 0.568
C 0.002 0.000 0.764
C 0.168 0.500 0.589



(2)
Theoretical powder diffractogram of KSe for CuKα, from a PBE-relaxed structure.

Peak list (10 most intense, 10° ≤ 2θ ≤ 90°, sorted by position)
2θ 15.5, d 5.724, intensity 100, (2 0 0)
2θ 29.1, d 3.064, intensity 27, (3 0 1)
2θ 31.3, d 2.862, intensity 31, (4 0 0)
2θ 33.2, d 2.702, intensity 32, (3 2 1)
2θ 34.9, d 2.571, intensity 17, (0 0 2)
2θ 35.1, d 2.560, intensity 13, (4 2 0)
2θ 38.4, d 2.345, intensity 20, (2 0 2)
2θ 43.3, d 2.092, intensity 18, (4 3 1)
2θ 47.5, d 1.913, intensity 18, (4 0 2)
2θ 50.3, d 1.814, intensity 9, (4 2 2)

Structure:
Lattice parameters (Å, degrees): 11.448 11.448 5.142 90.00 90.00 90.00
Space group P4/mnc (No. 128)
Asymmetric unit:
K 0.013 0.255 0.000
Se 0.209 0.763 0.500



(3)
Theoretical powder diffractogram of TbEr6In2 for CuKα, from a PBE-relaxed structure.

Peak list (10 most intense, 10° ≤ 2θ ≤ 90°, sorted by position)
2θ 31.8, d 2.812, intensity 53, (2 0 3)
2θ 31.9, d 2.804, intensity 52, (4 0 -3)
2θ 33.0, d 2.717, intensity 97, (3 1 0)
2θ 33.1, d 2.704, intensity 100, (1 1 -3)
2θ 46.0, d 1.975, intensity 16, (2 0 -6)
2θ 49.1, d 1.854, intensity 18, (0 2 0)
2θ 57.4, d 1.604, intensity 14, (7 1 -3)
2θ 57.6, d 1.599, intensity 15, (1 1 6)
2θ 57.8, d 1.596, intensity 17, (5 1 -6)
2θ 59.8, d 1.547, intensity 36, (4 2 -3)

Structure:
Lattice parameters (Å, degrees): 12.600 3.709 11.849 90.00 108.11 90.00
Space group C2/m (No. 12)
Asymmetric unit:
Tb 0.000 0.000 0.000
Er 0.014 0.000 0.343
Er 0.184 0.500 0.876
Er 0.189 0.500 0.583
In 0.144 0.500 0.210



(4)
Theoretical powder diffractogram of TiReB for CuKα, from a PBE-relaxed structure.

Peak list (10 most intense, 10° ≤ 2θ ≤ 90°, sorted by position)
2θ 12.3, d 7.225, intensity 100, (0 2 0)
2θ 33.6, d 2.670, intensity 30, (1 3 0)
2θ 38.4, d 2.342, intensity 45, (0 4 1)
2θ 41.1, d 2.194, intensity 68, (1 1 1)
2θ 42.1, d 2.147, intensity 42, (1 5 0)
2θ 48.0, d 1.896, intensity 18, (0 6 1)
2θ 71.3, d 1.323, intensity 15, (2 4 1)
2θ 72.7, d 1.301, intensity 15, (1 9 1)
2θ 76.1, d 1.250, intensity 14, (1 5 2)
2θ 78.0, d 1.225, intensity 9, (2 6 1)

Structure:
Lattice parameters (Å, degrees): 3.208 14.449 3.076 90.00 90.00 90.00
Space group Cmcm (No. 63)
Asymmetric unit:
Ti 0.000 0.085 0.250
Re 0.000 0.301 0.250
B 0.000 0.465 0.250